No. 1
This entry pairs a crystal structure of Ti3Nb2Mo4 with its computed X-ray powder pattern. Radiation: CuKα. Structure: a cell relaxed with GGA-PBE.

Main lines, by angle (10 to 90 degrees two-theta):
hkl 3 3 0, 2θ = 34.79°, intensity 23
hkl 0 0 2, 2θ = 36.71°, intensity 54
hkl 1 5 0, 2θ = 36.80°, intensity 20
hkl 3 3 1, 2θ = 39.49°, intensity 100
hkl 1 5 1, 2θ = 41.30°, intensity 78
hkl 4 2 1, 2θ = 43.76°, intensity 65

Atomic structure:
Lattice parameters (Å, degrees): 9.7957 12.6082 4.8962 90.00 90.00 90.00
Space group Cccm (No. 66)
One atom of each set of equivalent atoms:
Ti1 0.0000 0.0000 0.2500
Ti2 0.0688 0.4005 0.0000
Nb1 0.0906 0.2265 0.5000
Mo1 0.1853 0.1595 0.0000
Mo2 0.2312 0.4351 0.5000



No. 2
This entry pairs a crystal structure of FeSiAg2S4 with its computed X-ray powder pattern. Radiation: CuKα. Structure: a cell relaxed with GGA-PBE.

Main lines, by angle (10 to 90 degrees two-theta):
hkl 0 1 2, 2θ = 26.31°, intensity 72
hkl 0 2 0, 2θ = 26.93°, intensity 35
hkl 2 0 -2, 2θ = 27.66°, intensity 71
hkl 1 1 -3, 2θ = 29.79°, intensity 100
hkl 1 2 -1, 2θ = 30.34°, intensity 43
hkl 0 3 2, 2θ = 47.19°, intensity 48

Atomic structure:
Lattice parameters (Å, degrees): 6.4512 6.6219 10.1666 90.00 129.13 90.00
Space group Pc (No. 7)
One atom of each set of equivalent atoms:
Fe1 0.0000 0.1832 0.0000
Si1 0.2451 0.3156 0.7472
Ag1 0.5074 0.1747 0.4953
Ag2 0.7501 0.3516 0.2445
S1 0.1327 0.3722 0.2320
S2 0.3323 0.1867 0.9716
S3 0.5967 0.2999 0.7643
S4 0.9255 0.1560 0.5211



No. 3
This entry pairs a crystal structure of Rb3PrO3 with its computed X-ray powder pattern. Radiation: CuKα. Structure: a cell relaxed with GGA-PBE.

Main lines, by angle (10 to 90 degrees two-theta):
hkl 0 2 2, 2θ = 26.97°, intensity 100
hkl 2 0 2, 2θ = 28.83°, intensity 81
hkl 0 0 4, 2θ = 30.09°, intensity 46
hkl 2 2 0, 2θ = 33.42°, intensity 99
hkl 0 4 0, 2θ = 45.58°, intensity 72
hkl 2 4 2, 2θ = 54.84°, intensity 31

Atomic structure:
Lattice parameters (Å, degrees): 7.2585 7.9587 11.8786 90.00 90.00 90.00
Space group Imma (No. 74)
One atom of each set of equivalent atoms:
Rb1 0.0000 0.2500 0.2212
Rb2 0.2442 0.0000 0.5000
Pr1 0.0000 0.2500 0.7866
O1 0.0000 0.2500 0.9769
O2 0.2500 0.0526 0.7500



No. 4
This entry pairs a crystal structure of Nd2BiH3 with its computed X-ray powder pattern. Radiation: CuKα. Structure: a cell relaxed with GGA-PBE.

Main lines, by angle (10 to 90 degrees two-theta):
hkl 1 1 1, 2θ = 27.52°, intensity 38
hkl 4 0 -2, 2θ = 27.89°, intensity 69
hkl 3 1 0, 2θ = 28.95°, intensity 100
hkl 1 1 -2, 2θ = 32.80°, intensity 79
hkl 4 0 1, 2θ = 33.16°, intensity 40
hkl 5 1 -1, 2θ = 36.37°, intensity 35

Atomic structure:
Lattice parameters (Å, degrees): 15.4964 4.0902 7.4695 90.00 114.59 90.00
Space group C2/m (No. 12)
One atom of each set of equivalent atoms:
Nd1 0.0288 0.0000 0.2699
Nd2 0.1999 0.5000 0.6788
Bi1 0.1332 0.5000 0.0473
H1 0.0620 0.5000 0.4105
H2 0.0954 0.0000 0.6222
H3 0.1926 0.0000 0.4758



No. 5
This entry pairs a crystal structure of CsPbSF with its computed X-ray powder pattern. Radiation: CuKα. Structure: a cell relaxed with GGA-PBE.

Main lines, by angle (10 to 90 degrees two-theta):
hkl 1 0 0, 2θ = 20.84°, intensity 26
hkl 1 0 1, 2θ = 21.96°, intensity 30
hkl 1 0 2, 2θ = 25.06°, intensity 100
hkl 0 0 4, 2θ = 27.73°, intensity 28
hkl 1 1 0, 2θ = 36.50°, intensity 49
hkl 1 1 4, 2θ = 46.45°, intensity 42

Atomic structure:
Lattice parameters (Å, degrees): 4.9230 4.9230 12.8697 90.00 90.00 120.00
Space group P6_3mc (No. 186)
One atom of each set of equivalent atoms:
Cs1 0.3333 0.6667 0.0000
Pb1 0.0000 0.0000 0.2529
S1 0.3333 0.6667 0.2836
F1 0.0000 0.0000 0.0734



No. 6
This entry pairs a crystal structure of CeSc4Ru5 with its computed X-ray powder pattern. Radiation: CuKα. Structure: a cell relaxed with GGA-PBE.

Main lines, by angle (10 to 90 degrees two-theta):
hkl 1 1 0, 2θ = 38.90°, intensity 52
hkl 1 0 5, 2θ = 39.16°, intensity 100
hkl 2 0 0, 2θ = 56.19°, intensity 18
hkl 2 1 5, 2θ = 70.62°, intensity 33
hkl 1 1 10, 2θ = 71.14°, intensity 16
hkl 2 0 10, 2θ = 84.18°, intensity 10

Atomic structure:
Lattice parameters (Å, degrees): 3.2741 3.2741 16.1629 90.00 90.00 90.00
Space group P4/mmm (No. 123)
One atom of each set of equivalent atoms:
Ce1 0.0000 0.0000 0.0000
Sc1 0.0000 0.0000 0.2093
Sc2 0.0000 0.0000 0.4028
Ru1 0.5000 0.5000 0.1018
Ru2 0.5000 0.5000 0.3020
Ru3 0.5000 0.5000 0.5000



No. 7
This entry pairs a crystal structure of CeNd2Y9 with its computed X-ray powder pattern. Radiation: CuKα. Structure: a cell relaxed with GGA-PBE.

Main lines, by angle (10 to 90 degrees two-theta):
hkl 1 1 3, 2θ = 30.49°, intensity 100
hkl 2 0 0, 2θ = 35.35°, intensity 50
hkl 2 2 0, 2θ = 50.85°, intensity 35
hkl 3 1 3, 2θ = 60.46°, intensity 41
hkl 3 3 3, 2θ = 82.85°, intensity 16
hkl 4 2 0, 2θ = 85.51°, intensity 15

Atomic structure:
Lattice parameters (Å, degrees): 5.0807 5.0807 15.2242 90.00 90.00 90.00
Space group P4/mmm (No. 123)
One atom of each set of equivalent atoms:
Ce1 0.0000 0.0000 0.0000
Nd1 0.0000 0.0000 0.3315
Y1 0.0000 0.5000 0.1638
Y2 0.0000 0.5000 0.5000
Y3 0.5000 0.5000 0.0000
Y4 0.5000 0.5000 0.3332



No. 8
This entry pairs a crystal structure of CaPmAgTe3 with its computed X-ray powder pattern. Radiation: CuKα. Structure: a cell relaxed with GGA-PBE.

Main lines, by angle (10 to 90 degrees two-theta):
hkl 1 0 0, 2θ = 10.15°, intensity 45
hkl 0 0 3, 2θ = 27.61°, intensity 40
hkl 2 1 0, 2θ = 29.17°, intensity 100
hkl 2 1 -1, 2θ = 29.28°, intensity 38
hkl 1 1 -3, 2θ = 34.54°, intensity 39
hkl 0 1 3, 2θ = 34.73°, intensity 39

Atomic structure:
Lattice parameters (Å, degrees): 8.9116 4.3004 9.9076 90.00 102.01 90.00
Space group P2_1/m (No. 11)
One atom of each set of equivalent atoms:
Ca1 0.1677 0.2500 0.1708
Pm1 0.3163 0.7500 0.7544
Ag1 0.4185 0.7500 0.4169
Te1 0.0928 0.2500 0.8443
Te2 0.2416 0.2500 0.5024
Te3 0.4196 0.7500 0.1308



No. 9
This entry pairs a crystal structure of SmDy5Ho7 with its computed X-ray powder pattern. Radiation: CuKα. Structure: a cell relaxed with GGA-PBE.

Main lines, by angle (10 to 90 degrees two-theta):
hkl 1 3 0, 2θ = 27.65°, intensity 29
hkl 0 0 4, 2θ = 31.06°, intensity 100
hkl 2 2 0, 2θ = 31.37°, intensity 56
hkl 1 3 2, 2θ = 31.79°, intensity 79
hkl 2 2 2, 2θ = 35.11°, intensity 79
hkl 2 2 6, 2θ = 57.93°, intensity 31

Atomic structure:
Lattice parameters (Å, degrees): 6.6582 11.0664 11.5117 90.00 90.00 90.00
Space group Imm2 (No. 44)
One atom of each set of equivalent atoms:
Sm1 0.0000 0.0000 0.0000
Dy1 0.0000 0.5000 0.3015
Dy2 0.2329 0.2283 0.8012
Ho1 0.0000 0.0000 0.3041
Ho2 0.0000 0.0000 0.6093
Ho3 0.0000 0.3301 0.5525
Ho4 0.0000 0.3305 0.0517
Ho5 0.0000 0.5000 0.8031



No. 10
This entry pairs a crystal structure of UCdO4 with its computed X-ray powder pattern. Radiation: CuKα. Structure: a cell relaxed with GGA-PBE.

Main lines, by angle (10 to 90 degrees two-theta):
hkl 0 2 0, 2θ = 24.66°, intensity 55
hkl 2 0 0, 2θ = 25.50°, intensity 48
hkl 1 1 1, 2θ = 31.00°, intensity 100
hkl 2 2 0, 2θ = 35.77°, intensity 29
hkl 1 3 1, 2θ = 47.56°, intensity 40
hkl 3 1 1, 2θ = 48.52°, intensity 34

Atomic structure:
Lattice parameters (Å, degrees): 6.9860 7.2209 3.5253 90.00 90.00 90.00
Space group Cmmm (No. 65)
One atom of each set of equivalent atoms:
U1 0.0000 0.0000 0.0000
Cd1 0.0000 0.5000 0.5000
O1 0.0000 0.1762 0.5000
O2 0.2175 0.5000 0.0000



No. 11
This entry pairs a crystal structure of DyZrIn2 with its computed X-ray powder pattern. Radiation: CuKα. Structure: a cell relaxed with GGA-PBE.

Main lines, by angle (10 to 90 degrees two-theta):
hkl 2 0 2, 2θ = 33.67°, intensity 100
hkl 0 1 2, 2θ = 34.12°, intensity 96
hkl 2 1 0, 2θ = 38.75°, intensity 68
hkl 0 0 4, 2θ = 40.51°, intensity 29
hkl 2 1 4, 2θ = 57.30°, intensity 41
hkl 4 1 2, 2θ = 66.65°, intensity 27

Atomic structure:
Lattice parameters (Å, degrees): 6.6387 3.2543 8.9078 90.00 90.00 90.00
Space group Pmma (No. 51)
One atom of each set of equivalent atoms:
Dy1 0.2500 0.0000 0.9995
Zr1 0.2500 0.0000 0.5003
In1 0.0005 0.5000 0.2609



No. 12
This entry pairs a crystal structure of Cu3Hg2 with its computed X-ray powder pattern. Radiation: CuKα. Structure: a cell relaxed with GGA-PBE.

Main lines, by angle (10 to 90 degrees two-theta):
hkl 1 0 1, 2θ = 28.19°, intensity 33
hkl 1 1 0, 2θ = 39.37°, intensity 58
hkl 1 0 5, 2θ = 40.72°, intensity 100
hkl 2 0 0, 2θ = 56.90°, intensity 19
hkl 2 1 5, 2θ = 72.31°, intensity 36
hkl 1 1 10, 2θ = 75.03°, intensity 14

Atomic structure:
Lattice parameters (Å, degrees): 3.2364 3.2364 15.1973 90.00 90.00 90.00
Space group I4/mmm (No. 139)
One atom of each set of equivalent atoms:
Cu1 0.0000 0.0000 0.0000
Cu2 0.0000 0.0000 0.2107
Hg1 0.0000 0.0000 0.3941



What did the twelfth record say?
This entry pairs a crystal structure of Cu3Hg2 with its computed X-ray powder pattern. Radiation: CuKα. Structure: a cell relaxed with GGA-PBE.

Main lines, by angle (10 to 90 degrees two-theta):
hkl 1 0 1, 2θ = 28.19°, intensity 33
hkl 1 1 0, 2θ = 39.37°, intensity 58
hkl 1 0 5, 2θ = 40.72°, intensity 100
hkl 2 0 0, 2θ = 56.90°, intensity 19
hkl 2 1 5, 2θ = 72.31°, intensity 36
hkl 1 1 10, 2θ = 75.03°, intensity 14

Atomic structure:
Lattice parameters (Å, degrees): 3.2364 3.2364 15.1973 90.00 90.00 90.00
Space group I4/mmm (No. 139)
One atom of each set of equivalent atoms:
Cu1 0.0000 0.0000 0.0000
Cu2 0.0000 0.0000 0.2107
Hg1 0.0000 0.0000 0.3941